Calculated XRD peak list
Compound: Pr3TeAuBr
Radiation: Cu Kα, 1.54184 Å
Structure: a PBE-relaxed structure

Atomic structure:
```
data_Pr3TeAuBr
_chemical_formula_sum 'Pr6 Te2 Au2 Br2'
_cell_length_a 7.7585
_cell_length_b 4.0849
_cell_length_c 12.0101
_cell_angle_alpha 90.00
_cell_angle_beta 103.19
_cell_angle_gamma 90.00
_symmetry_space_group_name_H-M 'P 1 21/m 1'
_symmetry_Int_Tables_number 11
_symmetry_space_group_name_Hall '-P 2yb'
loop_
_atom_site_label
_atom_site_fract_x
_atom_site_fract_y
_atom_site_fract_z
Pr1 0.0434 0.2500 0.1462
Pr2 0.2961 0.2500 0.5014
Pr3 0.4516 0.7500 0.8350
Te1 0.3384 0.7500 0.3045
Au1 0.2446 0.2500 0.9508
Br1 0.1137 0.7500 0.6308
```

Most intense lines, 2θ = 5–70°, sorted by position:
(0 0 1), 7.56 deg, 11.693 Å, I = 37.9; (1 1 -2), 27.69 deg, 3.221 Å, I = 100.0; (2 0 2), 30.98 deg, 2.886 Å, I = 58.6; (2 1 -2), 33.36 deg, 2.686 Å, I = 62.2; (2 0 -4), 34.24 deg, 2.619 Å, I = 45.6; (2 1 1), 34.47 deg, 2.602 Å, I = 62.3; (0 1 4), 37.85 deg, 2.377 Å, I = 43.9; (3 1 -2), 41.95 deg, 2.154 Å, I = 33.6; (0 2 0), 44.36 deg, 2.042 Å, I = 44.3; (0 1 5), 44.65 deg, 2.030 Å, I = 31.4